[1]
Structure and computed XRD peak list of MnFe3Sb2P6O24 (a crystal structure in the Materials Project, relaxed with GGA+U; Cu Kα X-rays).

Main lines, sorted by position (2θ = 15–90°):
d/Å	I_rel
4.353	100.0
3.739	59.9
3.565	25.5
2.798	93.9
2.513	37.9
1.975	27.0
1.870	33.5
1.500	24.8

```
36
Lattice="4.3531 2.5133 7.3041 -4.3531 2.5133 7.3041 0.0000 -5.0265 7.3041" Properties=species:S:1:pos:R:3 pbc="T T T"
Mn 0.0000 0.0000 0.0000
Fe 0.0000 0.0000 4.4407
Fe 0.0000 0.0000 10.9713
Fe 0.0000 0.0000 15.3975
Sb 0.0000 0.0000 7.7053
Sb 0.0000 0.0000 18.6462
P -1.2644 -2.8302 9.5397
P -2.5246 0.0062 13.1869
P -1.8188 2.5101 9.5397
P 1.2569 -2.1895 13.1869
P 3.0832 0.3201 9.5398
P 1.2677 2.1833 13.1869
O -0.8168 -3.4885 8.2405
O -1.5209 -0.1690 5.9275
O -3.4397 -1.2659 13.1248
O -0.8922 -3.5807 10.8199
O -2.6127 2.4517 8.2405
O -0.6287 -1.3917 9.5093
O 0.9068 -1.2327 5.9275
O -1.6937 -0.0415 11.9040
O -2.6549 2.5630 10.8199
O -0.8909 1.2403 9.5093
O 0.6141 1.4017 5.9275
O -1.6967 0.0512 14.4712
O 0.8828 -1.4460 11.9040
O -0.8966 -1.2387 16.8918
O 1.5196 0.1514 9.5093
O 0.8040 -1.4950 14.4712
O 0.8109 1.4875 11.9040
O 2.8162 -2.3459 13.1248
O -0.6244 1.3958 16.8918
O 3.4296 1.0369 8.2405
O 0.8927 1.4438 14.4712
O 0.6235 3.6119 13.1248
O 1.5210 -0.1571 16.8918
O 3.5471 1.0177 10.8199
```



[2]
Structure and computed XRD peak list of Cu6NiO6 (a crystal structure in the Materials Project, relaxed with GGA+U; Cu Kα X-rays).

Main lines, sorted by position (2θ = 15–90°):
d/Å	I_rel
4.745	24.1
2.906	19.0
2.478	8.2
2.373	95.0
2.055	100.0
1.453	56.8
1.239	35.2
1.186	17.7

```
13
Lattice="0.0000 4.1094 4.1094 4.1094 0.0000 4.1094 4.1094 4.1094 0.0000" Properties=species:S:1:pos:R:3 pbc="T T T"
Cu 2.0547 2.0547 0.0000
Cu 2.0547 0.0000 2.0547
Cu 4.1094 2.0547 2.0547
Cu 0.0000 2.0547 2.0547
Cu 2.0547 4.1094 2.0547
Cu 2.0547 2.0547 4.1094
Ni 0.0000 0.0000 0.0000
O 4.1094 4.1094 1.9006
O 4.1094 1.9006 4.1094
O 6.3183 4.1094 4.1094
O 1.9006 4.1094 4.1094
O 4.1094 6.3183 4.1094
O 4.1094 4.1094 6.3183
```



[3]
Structure and computed XRD peak list of Sr4MgFe4O11 (a crystal structure in the Materials Project, relaxed with GGA+U; Cu Kα X-rays).

Main lines, sorted by position (2θ = 15–90°):
d/Å	I_rel
3.064	57.8
3.021	64.5
2.865	79.2
2.832	83.0
2.807	100.0
2.780	90.2
1.998	63.0
1.953	43.1

```
20
Lattice="6.1632 0.0000 0.0000 0.4041 6.7808 0.0000 0.7392 2.5977 6.6083" Properties=species:S:1:pos:R:3 pbc="T T T"
Sr 0.0000 0.0000 0.0000
Sr 1.1772 5.0203 3.3525
Sr 4.2837 7.0646 5.4680
Sr 4.6500 2.4220 2.3221
Mg 2.3645 1.4545 0.9602
Fe 0.4447 3.4139 0.0351
Fe 1.3604 1.6151 3.6424
Fe 4.1837 5.7704 1.9462
Fe 4.3600 3.7108 5.1800
O 0.7427 2.1875 1.6321
O 1.6552 7.3391 5.2683
O 2.5845 6.9962 2.5282
O 2.8664 4.8829 5.7836
O 3.0041 2.5577 4.2233
O 3.0781 4.2602 1.6811
O 3.6711 0.1058 0.2386
O 5.3362 6.6583 3.1804
O 5.7855 5.0468 5.9983
O 5.9838 2.9103 4.2618
O 5.8507 4.7579 1.2135
```



What did the third record say?
Structure and computed XRD peak list of Sr4MgFe4O11 (a crystal structure in the Materials Project, relaxed with GGA+U; Cu Kα X-rays).

Main lines, sorted by position (2θ = 15–90°):
d/Å	I_rel
3.064	57.8
3.021	64.5
2.865	79.2
2.832	83.0
2.807	100.0
2.780	90.2
1.998	63.0
1.953	43.1

```
20
Lattice="6.1632 0.0000 0.0000 0.4041 6.7808 0.0000 0.7392 2.5977 6.6083" Properties=species:S:1:pos:R:3 pbc="T T T"
Sr 0.0000 0.0000 0.0000
Sr 1.1772 5.0203 3.3525
Sr 4.2837 7.0646 5.4680
Sr 4.6500 2.4220 2.3221
Mg 2.3645 1.4545 0.9602
Fe 0.4447 3.4139 0.0351
Fe 1.3604 1.6151 3.6424
Fe 4.1837 5.7704 1.9462
Fe 4.3600 3.7108 5.1800
O 0.7427 2.1875 1.6321
O 1.6552 7.3391 5.2683
O 2.5845 6.9962 2.5282
O 2.8664 4.8829 5.7836
O 3.0041 2.5577 4.2233
O 3.0781 4.2602 1.6811
O 3.6711 0.1058 0.2386
O 5.3362 6.6583 3.1804
O 5.7855 5.0468 5.9983
O 5.9838 2.9103 4.2618
O 5.8507 4.7579 1.2135
```